Starting from a structure optimized by DFT (PBE), the X-ray powder pattern of CoH6N2Cl2 was simulated for Cu Kα, 1.54184 Å.
No peak broadening, texture or thermal motion is included.

Crystal structure
Cell: 7.372 7.927 7.850 Å, 90.00 90.00 90.00°
Space group Imma (No. 74)
Inequivalent atoms, fractional coordinates:
1 Co 0.000 0.250 0.243
2 H 0.000 0.069 0.648
3 H 0.110 0.058 0.831
4 N 0.000 0.012 0.765
5 Cl 0.242 0.250 0.465

The 10 most intense peaks (2θ = 10–80°), in order of falling intensity:
| two_theta | I_rel | (hkl) |
| --- | --- | --- |
| 15.89 | 100 | 0 1 1 |
| 33.35 | 71 | 2 0 2 |
| 22.43 | 41 | 0 2 0 |
| 40.56 | 33 | 2 2 2 |
| 43.94 | 28 | 2 1 3 |
| 57.81 | 22 | 2 4 2 |
| 35.86 | 20 | 0 3 1 |
| 29.04 | 16 | 2 1 1 |
| 55.34 | 15 | 2 3 3 |
| 45.79 | 14 | 0 4 0 |